1.
Starting from a structure optimized by DFT (PBE), the XRD peak list of NaCaAlSi2O7 was calculated for Cu Kα (weighted mean of Kα1 and Kα2).
Peak positions follow from Bragg's law for the DFT cell and can differ from measured ones.

Top 8 peaks for 15° ≤ 2θ ≤ 90°, by angle:
two_theta  I/Imax
16.21  26
17.94  38
24.27  100
31.51  86
31.63  94
45.07  34
52.76  22
68.62  29

Atomic structure:
```
data_NaCaAlSi2O7
_chemical_formula_sum 'Na4 Ca4 Al4 Si8 O28'
_cell_length_a 7.6973
_cell_length_b 7.7693
_cell_length_c 9.8909
_cell_angle_alpha 90.00
_cell_angle_beta 90.00
_cell_angle_gamma 90.00
_space_group_name_H-M_alt 'P 1'
_space_group_IT_number 1
loop_
_space_group_symop_operation_xyz
'x,y,z'
loop_
_atom_site_label
_atom_site_type_symbol
_atom_site_fract_x
_atom_site_fract_y
_atom_site_fract_z
Na1 Na 0.1038 0.1601 0.4929
Na2 Na 0.3962 0.8399 0.9929
Na3 Na 0.6038 0.3399 0.5071
Na4 Na 0.8962 0.6601 0.0071
Ca1 Ca 0.1275 0.1200 0.9473
Ca2 Ca 0.3725 0.8800 0.4473
Ca3 Ca 0.6275 0.3800 0.0527
Ca4 Ca 0.8725 0.6200 0.5527
Al1 Al 0.2418 0.5003 0.0002
Al2 Al 0.2582 0.4997 0.5002
Al3 Al 0.7418 0.9997 0.9998
Al4 Al 0.7582 0.0003 0.4998
Si1 Si 0.0948 0.8485 0.1826
Si2 Si 0.1106 0.8555 0.6832
Si3 Si 0.3894 0.1445 0.1832
Si4 Si 0.4052 0.1515 0.6826
Si5 Si 0.5948 0.6515 0.8174
Si6 Si 0.6106 0.6445 0.3168
Si7 Si 0.8894 0.3555 0.8168
Si8 Si 0.9052 0.3485 0.3174
O1 O 0.0735 0.4115 0.8948
O2 O 0.0776 0.4242 0.4006
O3 O 0.0988 0.8408 0.3429
O4 O 0.1014 0.8529 0.8432
O5 O 0.1616 0.6721 0.1023
O6 O 0.1731 0.6769 0.6018
O7 O 0.2458 0.9966 0.1341
O8 O 0.2542 0.0034 0.6341
O9 O 0.3269 0.3231 0.1018
O10 O 0.3384 0.3279 0.6023
O11 O 0.3986 0.1471 0.3432
O12 O 0.4012 0.1592 0.8429
O13 O 0.4224 0.5758 0.9006
O14 O 0.4265 0.5885 0.3948
O15 O 0.5735 0.0885 0.1052
O16 O 0.5776 0.0758 0.5994
O17 O 0.5988 0.6592 0.6571
O18 O 0.6014 0.6471 0.1568
O19 O 0.6616 0.8279 0.8977
O20 O 0.6731 0.8231 0.3982
O21 O 0.7458 0.5034 0.8659
O22 O 0.7542 0.4966 0.3659
O23 O 0.8269 0.1769 0.8982
O24 O 0.8384 0.1721 0.3977
O25 O 0.8986 0.3529 0.6568
O26 O 0.9012 0.3408 0.1571
O27 O 0.9224 0.9242 0.0994
O28 O 0.9265 0.9115 0.6052
```

---

2.
Starting from a structure optimized by DFT (PBE), the XRD peak list of SmErFe17 was calculated for Cu Kα (weighted mean of Kα1 and Kα2).
Peak positions follow from Bragg's law for the DFT cell and can differ from measured ones.

Top 8 peaks for 15° ≤ 2θ ≤ 90°, by angle:
two_theta  I/Imax
30.15  40
36.62  42
37.94  27
42.53  61
42.85  100
43.76  49
48.14  18
62.67  26

Atomic structure:
```
data_SmErFe17
_chemical_formula_sum 'Sm1 Er1 Fe17'
_cell_length_a 6.4179
_cell_length_b 6.4179
_cell_length_c 6.4179
_cell_angle_alpha 82.96
_cell_angle_beta 82.96
_cell_angle_gamma 82.96
_space_group_name_H-M_alt 'P 1'
_space_group_IT_number 1
loop_
_space_group_symop_operation_xyz
'x,y,z'
loop_
_atom_site_label
_atom_site_type_symbol
_atom_site_fract_x
_atom_site_fract_y
_atom_site_fract_z
Sm1 Sm 0.0000 0.0000 0.0000
Er1 Er 0.3163 0.3163 0.3163
Fe1 Fe 0.0021 0.0021 0.5024
Fe2 Fe 0.0021 0.5024 0.0021
Fe3 Fe 0.1582 0.6575 0.6575
Fe4 Fe 0.3145 0.3145 0.8130
Fe5 Fe 0.3145 0.8130 0.3145
Fe6 Fe 0.3652 0.6572 0.9513
Fe7 Fe 0.3652 0.9513 0.6572
Fe8 Fe 0.5024 0.0021 0.0021
Fe9 Fe 0.5611 0.5611 0.5611
Fe10 Fe 0.6575 0.1582 0.6575
Fe11 Fe 0.6572 0.3652 0.9513
Fe12 Fe 0.6575 0.6575 0.1582
Fe13 Fe 0.6572 0.9513 0.3652
Fe14 Fe 0.7542 0.7542 0.7542
Fe15 Fe 0.8130 0.3145 0.3145
Fe16 Fe 0.9513 0.3652 0.6572
Fe17 Fe 0.9513 0.6572 0.3652
```

---

3.
Starting from a structure optimized by DFT (PBE), the XRD peak list of Te2W2SeS was calculated for Cu Kα (weighted mean of Kα1 and Kα2).
Peak positions follow from Bragg's law for the DFT cell and can differ from measured ones.

Top 8 peaks for 15° ≤ 2θ ≤ 90°, by angle:
two_theta  I/Imax
30.40  47
32.55  17
35.69  100
43.17  54
44.92  17
54.01  33
66.43  16
76.11  16

Atomic structure:
```
data_Te2W2SeS
_chemical_formula_sum 'Te4 W4 Se2 S2'
_cell_length_a 3.3963
_cell_length_b 3.3963
_cell_length_c 38.8268
_cell_angle_alpha 90.00
_cell_angle_beta 90.00
_cell_angle_gamma 120.00
_space_group_name_H-M_alt 'P 1'
_space_group_IT_number 1
loop_
_space_group_symop_operation_xyz
'x,y,z'
loop_
_atom_site_label
_atom_site_type_symbol
_atom_site_fract_x
_atom_site_fract_y
_atom_site_fract_z
Te1 Te 0.0000 0.0000 0.0000
Te2 Te 0.0000 0.0000 0.0970
Te3 Te 0.0000 0.0000 0.3757
Te4 Te 0.0000 0.0000 0.4727
W1 W 0.0000 0.0000 0.2363
W2 W 0.0000 0.0000 0.8606
W3 W 0.3333 0.6667 0.0485
W4 W 0.3333 0.6667 0.4242
Se1 Se 0.3333 0.6667 0.8180
Se2 Se 0.3333 0.6667 0.9032
S1 S 0.3333 0.6667 0.1975
S2 S 0.3333 0.6667 0.2751
```

---

4.
Starting from a structure optimized by DFT (PBE), the XRD peak list of TaB2O2 was calculated for Cu Kα (weighted mean of Kα1 and Kα2).
Peak positions follow from Bragg's law for the DFT cell and can differ from measured ones.

Top 8 peaks for 15° ≤ 2θ ≤ 90°, by angle:
two_theta  I/Imax
22.08  39
23.85  35
28.68  100
29.77  74
37.12  47
44.58  40
45.04  38
61.83  25

Atomic structure:
```
data_TaB2O2
_chemical_formula_sum 'Ta4 B8 O8'
_cell_length_a 8.8964
_cell_length_b 8.8964
_cell_length_c 8.8964
_cell_angle_alpha 134.71
_cell_angle_beta 134.71
_cell_angle_gamma 65.98
_space_group_name_H-M_alt 'P 1'
_space_group_IT_number 1
loop_
_space_group_symop_operation_xyz
'x,y,z'
loop_
_atom_site_label
_atom_site_type_symbol
_atom_site_fract_x
_atom_site_fract_y
_atom_site_fract_z
Ta1 Ta 0.0000 0.0000 0.0000
Ta2 Ta 0.0000 0.0000 0.5000
Ta3 Ta 0.0000 0.5000 0.0000
Ta4 Ta 0.5000 0.0000 0.5000
B1 B 0.1759 0.2095 0.9664
B2 B 0.2095 0.1759 0.4664
B3 B 0.2095 0.7431 0.0336
B4 B 0.2569 0.7905 0.4664
B5 B 0.7431 0.2095 0.5336
B6 B 0.7905 0.2569 0.9664
B7 B 0.7905 0.8241 0.5336
B8 B 0.8241 0.7905 0.0336
O1 O 0.1299 0.1765 0.5467
O2 O 0.1299 0.5832 0.9533
O3 O 0.1765 0.1299 0.0467
O4 O 0.4168 0.8701 0.5467
O5 O 0.5832 0.1299 0.4533
O6 O 0.8235 0.8701 0.9533
O7 O 0.8701 0.4168 0.0467
O8 O 0.8701 0.8235 0.4533
```

---

5.
Starting from a structure optimized by DFT (PBE), the XRD peak list of CsMg14BiO16 was calculated for Cu Kα (weighted mean of Kα1 and Kα2).
Peak positions follow from Bragg's law for the DFT cell and can differ from measured ones.

Top 8 peaks for 15° ≤ 2θ ≤ 90°, by angle:
two_theta  I/Imax
21.80  66
21.90  61
28.03  76
29.37  68
34.31  100
39.24  84
39.48  83
40.75  83

Atomic structure:
```
data_CsMg14BiO16
_chemical_formula_sum 'Cs1 Mg14 Bi1 O16'
_cell_length_a 4.5652
_cell_length_b 8.8597
_cell_length_c 9.1825
_cell_angle_alpha 90.00
_cell_angle_beta 90.00
_cell_angle_gamma 90.00
_space_group_name_H-M_alt 'P 1'
_space_group_IT_number 1
loop_
_space_group_symop_operation_xyz
'x,y,z'
loop_
_atom_site_label
_atom_site_type_symbol
_atom_site_fract_x
_atom_site_fract_y
_atom_site_fract_z
Cs1 Cs 0.0000 0.0000 0.0000
Mg1 Mg 0.0000 0.2641 0.2438
Mg2 Mg 0.0000 0.2641 0.7562
Mg3 Mg 0.0000 0.5000 0.0000
Mg4 Mg 0.0000 0.5000 0.5000
Mg5 Mg 0.0000 0.7359 0.2438
Mg6 Mg 0.0000 0.7359 0.7562
Mg7 Mg 0.5000 0.0000 0.2419
Mg8 Mg 0.5000 0.0000 0.7581
Mg9 Mg 0.5000 0.2639 0.0000
Mg10 Mg 0.5000 0.2657 0.5000
Mg11 Mg 0.5000 0.5000 0.2485
Mg12 Mg 0.5000 0.5000 0.7515
Mg13 Mg 0.5000 0.7343 0.5000
Mg14 Mg 0.5000 0.7361 0.0000
Bi1 Bi 0.0000 0.0000 0.5000
O1 O 0.0000 0.0000 0.2648
O2 O 0.0000 0.0000 0.7352
O3 O 0.0000 0.2700 0.5000
O4 O 0.0000 0.2880 0.0000
O5 O 0.0000 0.5000 0.2575
O6 O 0.0000 0.5000 0.7425
O7 O 0.0000 0.7120 0.0000
O8 O 0.0000 0.7300 0.5000
O9 O 0.5000 0.0000 0.0000
O10 O 0.5000 0.0000 0.5000
O11 O 0.5000 0.2512 0.2506
O12 O 0.5000 0.2512 0.7494
O13 O 0.5000 0.5000 0.0000
O14 O 0.5000 0.5000 0.5000
O15 O 0.5000 0.7488 0.2506
O16 O 0.5000 0.7488 0.7494
```